Starting from a cell relaxed with PBE, the powder XRD pattern of Lu5Ir2 was simulated for CuKα.

Structural model:
```
data_Lu5Ir2
_symmetry_space_group_name_H-M 'C 1 2/c 1'
_symmetry_Int_Tables_number 15
_symmetry_space_group_name_Hall '-C 2yc'
_cell_length_a 15.2631
_cell_length_b 6.3907
_cell_length_c 7.1114
_cell_angle_alpha 90.00
_cell_angle_beta 97.08
_cell_angle_gamma 90.00
loop_
_atom_site_label
_atom_site_fract_x
_atom_site_fract_y
_atom_site_fract_z
Lu1 0.0000 0.0715 0.2500
Lu2 0.0909 0.3786 0.9199
Lu3 0.2210 0.0664 0.3180
Ir1 0.1090 0.2182 0.5728
```

Principal peaks in the range 2θ = 10–90°, in order of rising 2θ:
- 20.1 deg, d = 4.418 Å, I = 57
- 30.7 deg, d = 2.911 Å, I = 57
- 32.3 deg, d = 2.768 Å, I = 78
- 32.7 deg, d = 2.737 Å, I = 72
- 36.5 deg, d = 2.461 Å, I = 51
- 36.8 deg, d = 2.439 Å, I = 100
- 38.0 deg, d = 2.368 Å, I = 64
- 40.6 deg, d = 2.221 Å, I = 53

***

Starting from a cell relaxed with PBE, the powder XRD pattern of Er2TiO5 was simulated for CuKα.

Structural model:
```
data_Er2TiO5
_symmetry_space_group_name_H-M 'P n m a'
_symmetry_Int_Tables_number 62
_symmetry_space_group_name_Hall '-P 2ac 2n'
_cell_length_a 10.4403
_cell_length_b 3.6949
_cell_length_c 11.1887
_cell_angle_alpha 90.00
_cell_angle_beta 90.00
_cell_angle_gamma 90.00
loop_
_atom_site_label
_atom_site_fract_x
_atom_site_fract_y
_atom_site_fract_z
Er1 0.1108 0.2500 0.2227
Er2 0.1352 0.2500 0.5567
Ti1 0.1803 0.2500 0.8779
O1 0.0081 0.7500 0.6043
O2 0.0138 0.2500 0.8394
O3 0.2261 0.2500 0.0427
O4 0.2351 0.7500 0.2260
O5 0.2445 0.7500 0.8815
```

Principal peaks in the range 2θ = 10–90°, in order of rising 2θ:
- 11.6 deg, d = 7.633 Å, I = 29
- 25.4 deg, d = 3.512 Å, I = 26
- 29.4 deg, d = 3.035 Å, I = 75
- 29.6 deg, d = 3.016 Å, I = 100
- 34.2 deg, d = 2.625 Å, I = 38
- 35.3 deg, d = 2.545 Å, I = 23
- 49.3 deg, d = 1.850 Å, I = 58
- 58.5 deg, d = 1.578 Å, I = 22

***

Starting from a cell relaxed with PBE, the powder XRD pattern of Th3Mo was simulated for CuKα.

Structural model:
```
data_Th3Mo
_symmetry_space_group_name_H-M 'P 63/m m c'
_symmetry_Int_Tables_number 194
_symmetry_space_group_name_Hall '-P 6c 2c'
_cell_length_a 6.6691
_cell_length_b 6.6691
_cell_length_c 5.7307
_cell_angle_alpha 90.00
_cell_angle_beta 90.00
_cell_angle_gamma 120.00
loop_
_atom_site_label
_atom_site_fract_x
_atom_site_fract_y
_atom_site_fract_z
Th1 0.1762 0.3524 0.2500
Mo1 0.3333 0.6667 0.7500
```

Principal peaks in the range 2θ = 10–90°, in order of rising 2θ:
- 31.0 deg, d = 2.888 Å, I = 23
- 31.2 deg, d = 2.865 Å, I = 30
- 34.8 deg, d = 2.579 Å, I = 100
- 44.5 deg, d = 2.034 Å, I = 17
- 55.1 deg, d = 1.667 Å, I = 17
- 57.9 deg, d = 1.593 Å, I = 24
- 64.7 deg, d = 1.441 Å, I = 22
- 66.8 deg, d = 1.400 Å, I = 14

***

Starting from a cell relaxed with PBE, the powder XRD pattern of U2Ni12P7 was simulated for CuKα.

Structural model:
```
data_U2Ni12P7
_symmetry_space_group_name_H-M 'P -6'
_symmetry_Int_Tables_number 174
_symmetry_space_group_name_Hall 'P -6'
_cell_length_a 9.0686
_cell_length_b 9.0686
_cell_length_c 3.6703
_cell_angle_alpha 90.00
_cell_angle_beta 90.00
_cell_angle_gamma 120.00
loop_
_atom_site_label
_atom_site_fract_x
_atom_site_fract_y
_atom_site_fract_z
U1 0.0000 0.0000 0.0000
U2 0.3333 0.6667 0.5000
Ni1 0.0536 0.7641 0.5000
Ni2 0.0996 0.3897 0.0000
Ni3 0.3924 0.2127 0.0000
Ni4 0.5429 0.1174 0.5000
P1 0.0737 0.6252 0.0000
P2 0.2610 0.0422 0.5000
P3 0.6667 0.3333 0.0000
```

Principal peaks in the range 2θ = 10–90°, in order of rising 2θ:
- 19.6 deg, d = 4.534 Å, I = 15
- 26.8 deg, d = 3.325 Å, I = 22
- 30.1 deg, d = 2.968 Å, I = 13
- 34.3 deg, d = 2.618 Å, I = 13
- 39.0 deg, d = 2.308 Å, I = 100
- 49.7 deg, d = 1.835 Å, I = 16
- 53.5 deg, d = 1.714 Å, I = 17
- 56.9 deg, d = 1.617 Å, I = 13

***

Starting from a cell relaxed with PBE, the powder XRD pattern of Ba2TaBiO6 was simulated for CuKα.

Structural model:
```
data_Ba2TaBiO6
_symmetry_space_group_name_H-M 'F m -3 m'
_symmetry_Int_Tables_number 225
_symmetry_space_group_name_Hall '-F 4 2 3'
_cell_length_a 8.6870
_cell_length_b 8.6870
_cell_length_c 8.6870
_cell_angle_alpha 90.00
_cell_angle_beta 90.00
_cell_angle_gamma 90.00
loop_
_atom_site_label
_atom_site_fract_x
_atom_site_fract_y
_atom_site_fract_z
Ba1 0.2500 0.2500 0.2500
Ta1 0.0000 0.0000 0.0000
Bi1 0.0000 0.0000 0.5000
O1 0.0000 0.0000 0.2308
```

Principal peaks in the range 2θ = 10–90°, in order of rising 2θ:
- 20.4 deg, d = 4.343 Å, I = 8
- 29.1 deg, d = 3.071 Å, I = 100
- 41.6 deg, d = 2.172 Å, I = 28
- 51.5 deg, d = 1.773 Å, I = 42
- 60.3 deg, d = 1.536 Å, I = 18
- 68.3 deg, d = 1.374 Å, I = 19
- 75.9 deg, d = 1.254 Å, I = 6
- 83.2 deg, d = 1.161 Å, I = 23

***

Starting from a cell relaxed with PBE, the powder XRD pattern of Rb2AsAuBr6 was simulated for CuKα.

Structural model:
```
data_Rb2AsAuBr6
_symmetry_space_group_name_H-M 'F m -3 m'
_symmetry_Int_Tables_number 225
_symmetry_space_group_name_Hall '-F 4 2 3'
_cell_length_a 10.9801
_cell_length_b 10.9801
_cell_length_c 10.9801
_cell_angle_alpha 90.00
_cell_angle_beta 90.00
_cell_angle_gamma 90.00
loop_
_atom_site_label
_atom_site_fract_x
_atom_site_fract_y
_atom_site_fract_z
Rb1 0.2500 0.2500 0.2500
As1 0.0000 0.0000 0.0000
Au1 0.0000 0.0000 0.5000
Br1 0.0000 0.0000 0.2451
```

Principal peaks in the range 2θ = 10–90°, in order of rising 2θ:
- 16.1 deg, d = 5.490 Å, I = 44
- 22.9 deg, d = 3.882 Å, I = 44
- 28.2 deg, d = 3.170 Å, I = 34
- 32.6 deg, d = 2.745 Å, I = 100
- 46.8 deg, d = 1.941 Å, I = 72
- 58.2 deg, d = 1.585 Å, I = 25
- 77.8 deg, d = 1.228 Å, I = 32
- 86.9 deg, d = 1.121 Å, I = 25